# 1
This entry pairs a crystal structure of Ba2CeWO6 with its simulated X-ray diffraction stick pattern. Radiation: Cu Ka. Structure: a cell relaxed with PBE+U.
Neutral-atom scattering factors, no anomalous dispersion.

Crystal structure
a = 8.614 Å, b = 8.614 Å, c = 8.614 Å
α = 90.00°, β = 90.00°, γ = 90.00°
Sites, in units of the cell vectors:
Ba 0.250 0.250 0.250
Ba 0.250 0.250 0.750
Ba 0.250 0.750 0.250
Ba 0.250 0.750 0.750
Ba 0.750 0.250 0.250
Ba 0.750 0.250 0.750
Ba 0.750 0.750 0.250
Ba 0.750 0.750 0.750
Ce 0.000 0.000 0.000
Ce 0.000 0.500 0.500
Ce 0.500 0.000 0.500
Ce 0.500 0.500 0.000
W 0.000 0.000 0.500
W 0.000 0.500 0.000
W 0.500 0.000 0.000
W 0.500 0.500 0.500
O 0.016 0.236 0.517
O 0.016 0.264 0.983
O 0.017 0.516 0.764
O 0.017 0.984 0.736
O 0.236 0.517 0.016
O 0.236 0.983 0.484
O 0.264 0.517 0.484
O 0.264 0.983 0.016
O 0.483 0.516 0.736
O 0.483 0.984 0.764
O 0.484 0.236 0.983
O 0.484 0.264 0.517
O 0.516 0.736 0.483
O 0.516 0.764 0.017
O 0.517 0.016 0.236
O 0.517 0.484 0.264
O 0.736 0.017 0.984
O 0.736 0.483 0.516
O 0.764 0.017 0.516
O 0.764 0.483 0.984
O 0.983 0.016 0.264
O 0.983 0.484 0.236
O 0.984 0.736 0.017
O 0.984 0.764 0.483

Peak list (10 most intense, 2θ from 10° to 90°, low angle first)
d [Å]	intensity
4.973	2
4.307	3
3.046	100
2.154	28
1.926	1
1.758	42
1.523	18
1.362	18
1.243	6
1.151	22

=====

# 2
This entry pairs a crystal structure of Ba2Co2ClF7 with its simulated X-ray diffraction stick pattern. Radiation: Cu Ka. Structure: a cell relaxed with PBE+U.
Neutral-atom scattering factors, no anomalous dispersion.

Crystal structure
a = 7.828 Å, b = 5.878 Å, c = 9.039 Å
α = 90.00°, β = 106.78°, γ = 90.00°
Sites, in units of the cell vectors:
Ba 0.169 0.250 0.412
Ba 0.198 0.250 0.927
Ba 0.802 0.750 0.073
Ba 0.831 0.750 0.588
Co 0.318 0.750 0.176
Co 0.326 0.750 0.734
Co 0.674 0.250 0.266
Co 0.682 0.250 0.824
Cl 0.383 0.750 0.469
Cl 0.617 0.250 0.531
F 0.130 0.507 0.161
F 0.130 0.993 0.161
F 0.139 0.503 0.655
F 0.139 0.997 0.655
F 0.246 0.750 0.934
F 0.495 0.002 0.172
F 0.495 0.498 0.172
F 0.505 0.502 0.828
F 0.505 0.998 0.828
F 0.754 0.250 0.066
F 0.861 0.003 0.345
F 0.861 0.497 0.345
F 0.870 0.007 0.839
F 0.870 0.493 0.839

Peak list (10 most intense, 2θ from 10° to 90°, low angle first)
d [Å]	intensity
3.747	25
3.485	100
3.352	24
3.160	62
2.939	25
2.299	26
2.260	26
2.210	37
1.838	22
1.785	28